# 1
Theoretical powder diffractogram of Rb2TcSe2S for Cu Kα X-rays, from the PBE geometry in OQMD.

Most intense lines, 10 to 90 degrees two-theta, low angle first:
d_spacing, 2theta, I/Imax
6.016, 14.73, 246
5.775, 15.34, 398
3.536, 25.19, 1000
3.390, 26.29, 711
3.349, 26.62, 689
2.676, 33.48, 424
2.447, 36.73, 381
2.431, 36.98, 321
2.169, 41.64, 283
1.849, 49.29, 247

Cell and atoms:
a = 14.133 Å, b = 7.071 Å, c = 10.133 Å
α = 90.00°, β = 125.92°, γ = 90.00°
Space group C2/m (No. 12)
Inequivalent atoms, fractional coordinates:
Rb 0.086 0.000 0.363
Rb 0.196 0.500 0.810
Tc 0.103 0.500 0.156
Se 0.110 0.500 0.395
Se 0.205 0.000 0.778
S 0.000 0.248 0.000

# 2
Theoretical powder diffractogram of CuAgHgGeS4 for Cu Kα X-rays, from the PBE geometry in OQMD.

Most intense lines, 10 to 90 degrees two-theta, low angle first:
d_spacing, 2theta, I/Imax
5.043, 17.59, 152
3.236, 27.57, 1000
2.845, 31.44, 175
2.478, 36.25, 101
2.012, 45.06, 184
1.967, 46.16, 354
1.708, 53.65, 300
1.654, 55.56, 157
1.278, 74.23, 130
1.153, 83.95, 108

Cell and atoms:
a = 5.690 Å, b = 5.690 Å, c = 10.886 Å
α = 90.00°, β = 90.00°, γ = 90.00°
Space group I-4 (No. 82)
Inequivalent atoms, fractional coordinates:
Cu 0.000 0.000 0.000
Ag 0.000 0.000 0.500
Hg 0.000 0.500 0.250
Ge 0.000 0.500 0.750
S 0.206 0.742 0.877

# 3
Theoretical powder diffractogram of LaAgGe2Au for Cu Kα X-rays, from the PBE geometry in OQMD.

Most intense lines, 10 to 90 degrees two-theta, low angle first:
d_spacing, 2theta, I/Imax
5.448, 16.27, 140
2.806, 31.89, 274
2.711, 33.04, 1000
2.210, 40.82, 455
2.054, 44.10, 207
1.955, 46.46, 145
1.736, 52.71, 134
1.570, 58.81, 128
1.563, 59.10, 151
1.354, 69.39, 279

Cell and atoms:
a = 4.421 Å, b = 4.421 Å, c = 10.895 Å
α = 90.00°, β = 90.00°, γ = 90.00°
Space group I-4m2 (No. 119)
Inequivalent atoms, fractional coordinates:
La 0.000 0.000 0.000
Ag 0.000 0.500 0.750
Ge 0.000 0.000 0.386
Au 0.000 0.500 0.250

# 4
Theoretical powder diffractogram of Cu2Te for Cu Kα X-rays, from the PBE geometry in OQMD.

Most intense lines, 10 to 90 degrees two-theta, low angle first:
d_spacing, 2theta, I/Imax
8.366, 10.57, 1000
3.604, 24.70, 377
3.377, 26.40, 514
2.479, 36.24, 541
2.225, 40.55, 756
2.131, 42.42, 683
2.114, 42.78, 904
2.006, 45.20, 517
1.539, 60.13, 226
1.248, 76.34, 217

Cell and atoms:
a = 4.2614 Å, b = 4.2614 Å, c = 16.7323 Å
α = 90.00°, β = 90.00°, γ = 120.00°
Space group P-3m1 (No. 164)
Inequivalent atoms, fractional coordinates:
Cu 0.0000 0.0000 0.0773
Cu 0.3333 0.6667 0.9688
Te 0.3333 0.6667 0.1262

# 5
Theoretical powder diffractogram of Gd2HoN3 for Cu Kα X-rays, from the PBE geometry in OQMD.

Most intense lines, 10 to 90 degrees two-theta, low angle first:
d_spacing, 2theta, I/Imax
2.844, 31.46, 1000
2.463, 36.48, 718
1.742, 52.55, 493
1.485, 62.54, 446
1.422, 65.66, 166
1.232, 77.51, 77
1.130, 86.03, 192
1.101, 88.84, 225

Cell and atoms:
a = 3.4841 Å, b = 3.4841 Å, c = 8.5278 Å
α = 90.00°, β = 90.00°, γ = 120.00°
Space group P-3m1 (No. 164)
Inequivalent atoms, fractional coordinates:
Gd 0.3333 0.6667 0.3315
Ho 0.0000 0.0000 0.0000
N 0.0000 0.0000 0.5000
N 0.3333 0.6667 0.8372

# 6
Theoretical powder diffractogram of AgSeO3F for Cu Kα X-rays, from the PBE geometry in OQMD.

Most intense lines, 10 to 90 degrees two-theta, low angle first:
d_spacing, 2theta, I/Imax
3.778, 23.55, 162
3.414, 26.10, 479
3.010, 29.67, 513
2.969, 30.10, 733
2.908, 30.75, 1000
2.205, 40.93, 149
1.934, 46.98, 189
1.842, 49.48, 177
1.706, 53.74, 199
1.683, 54.54, 178

Cell and atoms:
a = 8.889 Å, b = 7.737 Å, c = 4.667 Å
α = 90.00°, β = 97.19°, γ = 90.00°
Space group C2/m (No. 12)
Inequivalent atoms, fractional coordinates:
Ag 0.000 0.250 0.000
Se 0.232 0.000 0.604
O 0.086 0.500 0.282
O 0.143 0.180 0.662
F 0.217 0.000 0.213